Structure and theoretical XRD peak list of Li2Sm2YGe2 (a crystal structure in Alexandria, relaxed with GGA-PBE; Cu Kα).
Lines closer than 0.1° are merged.

The 12 most intense peaks (2θ from 10° to 90°), in order of rising 2θ:
2θ 23.4, I = 90, hkl 1 0 1
2θ 28.1, I = 30, hkl 0 1 5
2θ 32.1, I = 86, hkl 1 0 7
2θ 34.4, I = 100, hkl 0 1 8
2θ 40.7, I = 83, hkl 1 1 0
2θ 47.4, I = 13, hkl 0 2 1
2θ 52.7, I = 21, hkl 0 2 7
2θ 54.3, I = 27, hkl 2 0 8
2θ 64.8, I = 26, hkl 1 1 15
2θ 68.6, I = 19, hkl 2 1 7
2θ 70.0, I = 25, hkl 1 2 8
2θ 74.0, I = 14, hkl 3 0 0

abc: 4.4377 4.4377 28.3273
angles: 90.00 90.00 120.00
Space group R-3m (No. 166, hexagonal axes)
Asymmetric unit:
Li  0.0000  0.0000  0.1078 x6
Sm  0.0000  0.0000  0.3759 x6
Y  0.0000  0.0000  0.5000 x3
Ge  0.0000  0.0000  0.2307 x6